Diffraction record for Ba11Bi10. The X-ray powder pattern is theoretical, not measured: it uses a DFT-relaxed cell (GGA-PBE, the Materials Project) and copper Kα.
Kinematic intensities with the Lorentz-polarization factor, no thermal factor.

Most intense lines, 2θ from 5° to 70°, low angle first:
2θ = 27.0°, 3.305 Å, I = 94.7; 2θ = 27.4°, 3.252 Å, I = 100.0; 2θ = 27.6°, 3.229 Å, I = 70.7; 2θ = 28.0°, 3.190 Å, I = 82.2; 2θ = 28.1°, 3.177 Å, I = 71.9; 2θ = 30.1°, 2.968 Å, I = 95.9

Crystal structure
```
data_Ba11Bi10
_cell_length_a 13.738
_cell_length_b 13.738
_cell_length_c 13.738
_cell_angle_alpha 121.25
_cell_angle_beta 121.25
_cell_angle_gamma 87.85
_symmetry_space_group_name_H-M 'P 1'
_symmetry_Int_Tables_number 1
loop_
_symmetry_equiv_pos_as_xyz
'x,y,z'
loop_
_atom_site_label
_atom_site_fract_x
_atom_site_fract_y
_atom_site_fract_z
Ba1 0.059 0.309 0.750
Ba2 0.104 0.437 0.332
Ba3 0.104 0.772 0.668
Ba4 0.154 0.154 0.000
Ba5 0.228 0.896 0.332
Ba6 0.309 0.059 0.750
Ba7 0.309 0.559 0.250
Ba8 0.332 0.332 0.664
Ba9 0.332 0.668 0.000
Ba10 0.437 0.104 0.332
Ba11 0.441 0.691 0.750
Ba12 0.559 0.309 0.250
Ba13 0.563 0.896 0.668
Ba14 0.668 0.332 0.000
Ba15 0.668 0.668 0.336
Ba16 0.691 0.441 0.750
Ba17 0.691 0.941 0.250
Ba18 0.772 0.104 0.668
Ba19 0.846 0.846 0.000
Ba20 0.896 0.228 0.332
Ba21 0.896 0.563 0.668
Ba22 0.941 0.691 0.250
Bi1 0.031 0.031 0.421
Bi2 0.031 0.611 0.000
Bi3 0.120 0.120 0.240
Bi4 0.120 0.880 0.000
Bi5 0.143 0.500 0.643
Bi6 0.250 0.750 0.500
Bi7 0.381 0.381 0.000
Bi8 0.389 0.389 0.421
Bi9 0.389 0.969 0.000
Bi10 0.500 0.143 0.643
Bi11 0.500 0.857 0.357
Bi12 0.611 0.031 0.000
Bi13 0.611 0.611 0.579
Bi14 0.619 0.619 0.000
Bi15 0.750 0.250 0.500
Bi16 0.857 0.500 0.357
Bi17 0.880 0.120 0.000
Bi18 0.880 0.880 0.760
Bi19 0.969 0.389 0.000
Bi20 0.969 0.969 0.579
```

Diffraction record for Cs2InAgI6. The X-ray powder pattern is theoretical, not measured: it uses a DFT-relaxed cell (GGA-PBE, the Materials Project) and copper Kα.
Kinematic intensities with the Lorentz-polarization factor, no thermal factor.

Most intense lines, 2θ from 5° to 70°, low angle first:
2θ = 25.7°, 3.472 Å, I = 77.2; 2θ = 29.7°, 3.007 Å, I = 100.0; 2θ = 42.5°, 2.126 Å, I = 74.0; 2θ = 50.3°, 1.813 Å, I = 35.8; 2θ = 52.7°, 1.736 Å, I = 26.0; 2θ = 70.0°, 1.345 Å, I = 33.2

Crystal structure
```
data_Cs2InAgI6
_cell_length_a 8.505
_cell_length_b 8.505
_cell_length_c 8.505
_cell_angle_alpha 60.00
_cell_angle_beta 60.00
_cell_angle_gamma 60.00
_symmetry_space_group_name_H-M 'P 1'
_symmetry_Int_Tables_number 1
loop_
_symmetry_equiv_pos_as_xyz
'x,y,z'
loop_
_atom_site_label
_atom_site_fract_x
_atom_site_fract_y
_atom_site_fract_z
Cs1 0.250 0.250 0.250
Cs2 0.750 0.750 0.750
In1 0.000 0.000 0.000
Ag1 0.500 0.500 0.500
I1 0.248 0.248 0.752
I2 0.248 0.752 0.248
I3 0.248 0.752 0.752
I4 0.752 0.248 0.248
I5 0.752 0.248 0.752
I6 0.752 0.752 0.248
```

Diffraction record for Li3PrSb2. The X-ray powder pattern is theoretical, not measured: it uses a DFT-relaxed cell (GGA-PBE, the Materials Project) and copper Kα.
Kinematic intensities with the Lorentz-polarization factor, no thermal factor.

Most intense lines, 2θ from 5° to 70°, low angle first:
2θ = 12.0°, 7.366 Å, I = 21.2; 2θ = 25.3°, 3.517 Å, I = 100.0; 2θ = 33.0°, 2.710 Å, I = 58.9; 2θ = 39.0°, 2.311 Å, I = 41.2; 2θ = 43.2°, 2.093 Å, I = 22.6; 2θ = 47.0°, 1.932 Å, I = 18.5

Crystal structure
```
data_Li3PrSb2
_cell_length_a 4.622
_cell_length_b 4.622
_cell_length_c 7.366
_cell_angle_alpha 90.00
_cell_angle_beta 90.00
_cell_angle_gamma 120.00
_symmetry_space_group_name_H-M 'P 1'
_symmetry_Int_Tables_number 1
loop_
_symmetry_equiv_pos_as_xyz
'x,y,z'
loop_
_atom_site_label
_atom_site_fract_x
_atom_site_fract_y
_atom_site_fract_z
Li1 0.000 0.000 0.000
Li2 0.333 0.667 0.853
Li3 0.667 0.333 0.147
Pr1 0.000 0.000 0.500
Sb1 0.333 0.667 0.244
Sb2 0.667 0.333 0.756
```

Diffraction record for Dy2FeSi4. The X-ray powder pattern is theoretical, not measured: it uses a DFT-relaxed cell (GGA-PBE, the Materials Project) and copper Kα.
Kinematic intensities with the Lorentz-polarization factor, no thermal factor.

Most intense lines, 2θ from 5° to 70°, low angle first:
2θ = 22.7°, 3.912 Å, I = 41.2; 2θ = 24.7°, 3.600 Å, I = 66.8; 2θ = 31.8°, 2.813 Å, I = 49.2; 2θ = 35.8°, 2.511 Å, I = 100.0; 2θ = 36.2°, 2.483 Å, I = 58.3; 2θ = 41.0°, 2.202 Å, I = 37.8

Crystal structure
```
data_Dy2FeSi4
_cell_length_a 4.049
_cell_length_b 8.126
_cell_length_c 8.126
_cell_angle_alpha 28.77
_cell_angle_beta 90.00
_cell_angle_gamma 90.00
_symmetry_space_group_name_H-M 'P 1'
_symmetry_Int_Tables_number 1
loop_
_symmetry_equiv_pos_as_xyz
'x,y,z'
loop_
_atom_site_label
_atom_site_fract_x
_atom_site_fract_y
_atom_site_fract_z
Dy1 0.000 0.000 0.000
Dy2 0.500 0.218 0.218
Fe1 0.000 0.359 0.359
Si1 0.000 0.646 0.646
Si2 0.000 0.802 0.802
Si3 0.500 0.412 0.412
Si4 0.500 0.565 0.565
```

Diffraction record for TbIn5Co. The X-ray powder pattern is theoretical, not measured: it uses a DFT-relaxed cell (GGA-PBE, the Materials Project) and copper Kα.
Kinematic intensities with the Lorentz-polarization factor, no thermal factor.

Most intense lines, 2θ from 5° to 70°, low angle first:
2θ = 30.0°, 2.980 Å, I = 50.4; 2θ = 36.6°, 2.455 Å, I = 100.0; 2θ = 39.2°, 2.296 Å, I = 55.8; 2θ = 54.2°, 1.692 Å, I = 25.7; 2θ = 68.9°, 1.362 Å, I = 26.6; 2θ = 69.4°, 1.354 Å, I = 29.2

Crystal structure
```
data_TbIn5Co
_cell_length_a 4.592
_cell_length_b 4.592
_cell_length_c 7.506
_cell_angle_alpha 90.00
_cell_angle_beta 90.00
_cell_angle_gamma 90.00
_symmetry_space_group_name_H-M 'P 1'
_symmetry_Int_Tables_number 1
loop_
_symmetry_equiv_pos_as_xyz
'x,y,z'
loop_
_atom_site_label
_atom_site_fract_x
_atom_site_fract_y
_atom_site_fract_z
Tb1 0.000 0.000 0.000
In1 0.000 0.500 0.307
In2 0.000 0.500 0.693
In3 0.500 0.000 0.307
In4 0.500 0.000 0.693
In5 0.500 0.500 0.000
Co1 0.000 0.000 0.500
```

Diffraction record for Ce4As3. The X-ray powder pattern is theoretical, not measured: it uses a DFT-relaxed cell (GGA-PBE, the Materials Project) and copper Kα.
Kinematic intensities with the Lorentz-polarization factor, no thermal factor.

Most intense lines, 2θ from 5° to 70°, low angle first:
2θ = 31.8°, 2.815 Å, I = 100.0; 2θ = 37.8°, 2.380 Å, I = 67.0; 2θ = 50.2°, 1.817 Å, I = 20.5; 2θ = 52.4°, 1.746 Å, I = 29.2; 2θ = 64.5°, 1.444 Å, I = 22.8; 2θ = 68.3°, 1.374 Å, I = 14.7

Crystal structure
```
data_Ce4As3
_cell_length_a 7.711
_cell_length_b 7.711
_cell_length_c 7.711
_cell_angle_alpha 109.47
_cell_angle_beta 109.47
_cell_angle_gamma 109.47
_symmetry_space_group_name_H-M 'P 1'
_symmetry_Int_Tables_number 1
loop_
_symmetry_equiv_pos_as_xyz
'x,y,z'
loop_
_atom_site_label
_atom_site_fract_x
_atom_site_fract_y
_atom_site_fract_z
Ce1 0.000 0.359 0.500
Ce2 0.000 0.859 0.500
Ce3 0.141 0.141 0.141
Ce4 0.359 0.500 0.000
Ce5 0.500 0.000 0.359
Ce6 0.500 0.000 0.859
Ce7 0.641 0.641 0.641
Ce8 0.859 0.500 0.000
As1 0.125 0.750 0.875
As2 0.250 0.625 0.375
As3 0.375 0.250 0.625
As4 0.625 0.375 0.250
As5 0.750 0.875 0.125
As6 0.875 0.125 0.750
```

Diffraction record for Tm2TeO6. The X-ray powder pattern is theoretical, not measured: it uses a DFT-relaxed cell (GGA-PBE, the Materials Project) and copper Kα.
Kinematic intensities with the Lorentz-polarization factor, no thermal factor.

Most intense lines, 2θ from 5° to 70°, low angle first:
2θ = 26.1°, 3.420 Å, I = 51.4; 2θ = 26.7°, 3.341 Å, I = 96.3; 2θ = 27.6°, 3.232 Å, I = 100.0; 2θ = 31.1°, 2.879 Å, I = 36.2; 2θ = 33.6°, 2.666 Å, I = 57.7; 2θ = 34.2°, 2.620 Å, I = 36.9

Crystal structure
```
data_Tm2TeO6
_cell_length_a 5.240
_cell_length_b 9.027
_cell_length_c 9.892
_cell_angle_alpha 90.00
_cell_angle_beta 90.00
_cell_angle_gamma 90.00
_symmetry_space_group_name_H-M 'P 1'
_symmetry_Int_Tables_number 1
loop_
_symmetry_equiv_pos_as_xyz
'x,y,z'
loop_
_atom_site_label
_atom_site_fract_x
_atom_site_fract_y
_atom_site_fract_z
Tm1 0.023 0.103 0.459
Tm2 0.038 0.218 0.865
Tm3 0.462 0.782 0.365
Tm4 0.477 0.897 0.959
Tm5 0.523 0.397 0.541
Tm6 0.538 0.282 0.135
Tm7 0.962 0.718 0.635
Tm8 0.977 0.603 0.041
Te1 0.040 0.494 0.355
Te2 0.460 0.506 0.855
Te3 0.540 0.006 0.645
Te4 0.960 0.994 0.145
O1 0.086 0.843 0.024
O2 0.174 0.950 0.298
O3 0.178 0.643 0.823
O4 0.188 0.642 0.239
O5 0.233 0.115 0.064
O6 0.249 0.586 0.498
O7 0.251 0.414 0.998
O8 0.267 0.885 0.564
O9 0.312 0.358 0.739
O10 0.322 0.357 0.323
O11 0.326 0.050 0.798
O12 0.414 0.157 0.524
O13 0.586 0.657 0.976
O14 0.674 0.550 0.702
O15 0.678 0.857 0.177
O16 0.688 0.858 0.761
O17 0.733 0.385 0.936
O18 0.749 0.914 0.502
O19 0.751 0.086 0.002
O20 0.767 0.615 0.436
O21 0.812 0.142 0.261
O22 0.822 0.143 0.677
O23 0.826 0.450 0.202
O24 0.914 0.343 0.476
```

Diffraction record for GaB2N3. The X-ray powder pattern is theoretical, not measured: it uses a DFT-relaxed cell (GGA-PBE, the Materials Project) and copper Kα.
Kinematic intensities with the Lorentz-polarization factor, no thermal factor.

Most intense lines, 2θ from 5° to 70°, low angle first:
2θ = 21.0°, 4.231 Å, I = 100.0; 2θ = 26.1°, 3.409 Å, I = 100.0; 2θ = 31.0°, 2.883 Å, I = 38.3; 2θ = 37.9°, 2.373 Å, I = 23.8; 2θ = 43.2°, 2.094 Å, I = 25.0; 2θ = 45.8°, 1.983 Å, I = 25.2

Crystal structure
```
data_GaB2N3
_cell_length_a 5.001
_cell_length_b 5.001
_cell_length_c 11.490
_cell_angle_alpha 90.11
_cell_angle_beta 90.11
_cell_angle_gamma 122.21
_symmetry_space_group_name_H-M 'P 1'
_symmetry_Int_Tables_number 1
loop_
_symmetry_equiv_pos_as_xyz
'x,y,z'
loop_
_atom_site_label
_atom_site_fract_x
_atom_site_fract_y
_atom_site_fract_z
Ga1 0.084 0.165 0.112
Ga2 0.165 0.084 0.612
Ga3 0.835 0.916 0.388
Ga4 0.916 0.835 0.888
B1 0.056 0.414 0.791
B2 0.182 0.634 0.450
B3 0.366 0.818 0.050
B4 0.414 0.056 0.291
B5 0.586 0.944 0.709
B6 0.634 0.182 0.950
B7 0.818 0.366 0.550
B8 0.944 0.586 0.209
N1 0.061 0.310 0.497
N2 0.070 0.930 0.250
N3 0.162 0.573 0.126
N4 0.310 0.061 0.997
N5 0.327 0.673 0.750
N6 0.427 0.838 0.374
N7 0.573 0.162 0.626
N8 0.673 0.327 0.250
N9 0.690 0.939 0.003
N10 0.838 0.427 0.874
N11 0.930 0.070 0.750
N12 0.939 0.690 0.503
```